No. 1
Simulated powder diffractogram of Nd2Sm2Se3S4 for Cu Kα (λ = 1.5418 Å), from a crystal structure in OQMD, relaxed with GGA-PBE.
Intensities are scaled so that the largest is 100.

Crystal structure
```
Nd2Sm2Se3S4
1.0
10.109 0.000 0.000
0.000 2.150 6.811
0.000 -2.150 6.811
Nd Sm Se S
2 2 3 4
Direct
0.000 0.000 0.000
0.500 0.014 0.014
0.239 0.717 0.717
0.761 0.717 0.717
0.000 0.339 0.339
0.379 0.364 0.364
0.621 0.364 0.364
0.000 0.626 0.626
0.246 0.090 0.090
0.500 0.649 0.649
0.754 0.090 0.090
```

Most intense lines, 5° ≤ 2θ ≤ 70°, by angle:
2θ 21.90, d 4.059, I = 73
2θ 28.02, d 3.184, I = 37
2θ 28.59, d 3.122, I = 100
2θ 33.74, d 2.656, I = 28
2θ 42.01, d 2.151, I = 44
2θ 43.20, d 2.094, I = 36

No. 2
Simulated powder diffractogram of Nd2Sm2Br5N2 for Cu Kα (λ = 1.5418 Å), from a crystal structure in OQMD, relaxed with GGA-PBE.
Intensities are scaled so that the largest is 100.

Crystal structure
```
Nd2Sm2Br5N2
1.0
9.442 -1.868 0.000
9.442 1.868 0.000
-2.076 0.000 8.041
Nd Sm Br N
2 2 5 2
Direct
0.000 0.000 0.197
0.000 0.000 0.803
0.340 0.340 0.901
0.660 0.660 0.099
0.161 0.161 0.374
0.171 0.171 0.821
0.500 0.500 0.500
0.829 0.829 0.179
0.839 0.839 0.626
0.462 0.462 0.978
0.538 0.538 0.022
```

Most intense lines, 5° ≤ 2θ ≤ 70°, by angle:
2θ 11.00, d 8.041, I = 42
2θ 28.77, d 3.103, I = 31
2θ 29.31, d 3.047, I = 73
2θ 32.24, d 2.777, I = 100
2θ 43.63, d 2.074, I = 47
2θ 44.60, d 2.032, I = 40

No. 3
Simulated powder diffractogram of U3Zn4 for Cu Kα (λ = 1.5418 Å), from a crystal structure in OQMD, relaxed with GGA-PBE.
Intensities are scaled so that the largest is 100.

Crystal structure
```
U3Zn4
1.0
8.647 0.000 0.000
0.000 3.722 0.000
-4.304 0.000 7.525
U Zn
6 8
Direct
0.132 0.250 0.367
0.134 0.250 0.767
0.266 0.750 0.634
0.734 0.250 0.366
0.866 0.750 0.233
0.868 0.750 0.633
0.107 0.750 0.054
0.333 0.250 0.167
0.446 0.750 0.053
0.447 0.750 0.393
0.553 0.250 0.607
0.554 0.250 0.947
0.667 0.750 0.833
0.893 0.250 0.946
```

Most intense lines, 5° ≤ 2θ ≤ 70°, by angle:
2θ 11.79, d 7.506, I = 73
2θ 31.59, d 2.832, I = 21
2θ 33.92, d 2.643, I = 98
2θ 39.93, d 2.258, I = 100
2θ 40.02, d 2.253, I = 50
2θ 48.95, d 1.861, I = 27

No. 4
Simulated powder diffractogram of CdOsNO for Cu Kα (λ = 1.5418 Å), from a crystal structure in OQMD, relaxed with GGA-PBE.
Intensities are scaled so that the largest is 100.

Crystal structure
```
CdOsNO
1.0
2.939 0.000 0.000
0.000 5.619 0.000
0.000 0.000 7.103
Cd Os N O
2 2 2 2
Direct
0.000 0.138 0.000
0.000 0.862 0.500
0.500 0.452 0.587
0.500 0.548 0.087
0.500 0.426 0.329
0.500 0.574 0.829
0.000 0.211 0.653
0.000 0.789 0.153
```

Most intense lines, 5° ≤ 2θ ≤ 70°, by angle:
2θ 15.77, d 5.619, I = 58
2θ 25.07, d 3.551, I = 99
2θ 29.76, d 3.002, I = 42
2θ 34.32, d 2.613, I = 60
2θ 34.44, d 2.604, I = 100
2θ 43.07, d 2.100, I = 68

No. 5
Simulated powder diffractogram of Pr5Co2B6 for Cu Kα (λ = 1.5418 Å), from a crystal structure in OQMD, relaxed with GGA-PBE.
Intensities are scaled so that the largest is 100.

Crystal structure
```
Pr5Co2B6
1.0
2.744 1.584 8.326
-2.744 1.584 8.326
0.000 -3.168 8.326
Pr Co B
5 2 6
Direct
0.000 0.000 0.000
0.251 0.251 0.251
0.417 0.417 0.417
0.583 0.583 0.583
0.749 0.749 0.749
0.124 0.124 0.124
0.876 0.876 0.876
0.167 0.500 0.833
0.167 0.833 0.500
0.500 0.167 0.833
0.500 0.833 0.167
0.833 0.167 0.500
0.833 0.500 0.167
```

Most intense lines, 5° ≤ 2θ ≤ 70°, by angle:
2θ 25.88, d 3.443, I = 23
2θ 31.35, d 2.853, I = 40
2θ 32.64, d 2.744, I = 100
2θ 34.37, d 2.609, I = 23
2θ 39.33, d 2.291, I = 38
2θ 55.41, d 1.658, I = 22

No. 6
Simulated powder diffractogram of DyH4I3O11 for Cu Kα (λ = 1.5418 Å), from a crystal structure in OQMD, relaxed with GGA-PBE.
Intensities are scaled so that the largest is 100.

Crystal structure
```
DyH4I3O11
1.0
6.950 0.000 0.000
-2.429 6.712 0.000
-2.781 -1.905 9.833
Dy H I O
2 8 6 22
Direct
0.109 0.413 0.287
0.891 0.587 0.713
0.124 0.256 0.900
0.197 0.069 0.889
0.218 0.067 0.339
0.294 0.092 0.206
0.706 0.908 0.794
0.782 0.933 0.661
0.803 0.931 0.111
0.876 0.744 0.100
0.279 0.357 0.671
0.280 0.727 0.044
0.312 0.852 0.573
0.688 0.148 0.427
0.720 0.273 0.956
0.721 0.643 0.329
0.070 0.628 0.127
0.090 0.860 0.634
0.110 0.815 0.915
0.138 0.730 0.397
0.229 0.148 0.267
0.240 0.571 0.758
0.247 0.219 0.893
0.294 0.475 0.521
0.384 0.112 0.535
0.429 0.555 0.236
0.441 0.975 0.155
0.559 0.025 0.845
0.571 0.445 0.764
0.616 0.888 0.465
0.706 0.525 0.479
0.753 0.781 0.107
0.760 0.429 0.242
0.771 0.852 0.733
0.862 0.270 0.603
0.890 0.185 0.085
0.910 0.140 0.366
0.930 0.372 0.873
```

Most intense lines, 5° ≤ 2θ ≤ 70°, by angle:
2θ 13.44, d 6.590, I = 44
2θ 15.49, d 5.719, I = 49
2θ 24.59, d 3.620, I = 100
2θ 26.44, d 3.371, I = 45
2θ 27.19, d 3.279, I = 72
2θ 28.79, d 3.101, I = 69